Entry 1:
Starting from a crystal structure in Alexandria, relaxed with GGA-PBE, the X-ray diffraction stick pattern of DyTm2Pt was simulated for Cu Kα (weighted mean of Kα1 and Kα2).
Peak positions follow from Bragg's law for the DFT cell and can differ from measured ones.

Structural model:
Cell: 7.006 9.433 6.440 Å, 90.00 90.00 90.00°
Space group Pnma (No. 62)
Inequivalent atoms, fractional coordinates:
1 Dy 0.024 0.250 0.128
2 Tm 0.180 0.061 0.678
3 Pt 0.111 0.750 0.448

Principal peaks in the range 10 to 80 degrees two-theta, by angle:
d 2.926, rel. 63, hkl 1 0 2; d 2.825, rel. 66, hkl 0 3 1; d 2.812, rel. 70, hkl 2 2 0; d 2.794, rel. 100, hkl 1 1 2; d 2.659, rel. 46, hkl 0 2 2; d 2.620, rel. 64, hkl 1 3 1; d 2.577, rel. 66, hkl 2 2 1; d 2.486, rel. 43, hkl 1 2 2; d 2.340, rel. 52, hkl 2 3 0; d 2.196, rel. 37, hkl 3 0 1; d 2.139, rel. 39, hkl 3 1 1; d 1.882, rel. 34, hkl 1 2 3


Entry 2:
Starting from a crystal structure in Alexandria, relaxed with GGA-PBE, the X-ray diffraction stick pattern of YScInMo2 was simulated for Cu Kα (weighted mean of Kα1 and Kα2).
Peak positions follow from Bragg's law for the DFT cell and can differ from measured ones.

Structural model:
Cell: 4.850 4.850 5.091 Å, 90.00 90.00 90.00°
Space group P4/mmm (No. 123)
Inequivalent atoms, fractional coordinates:
1 Y 0.000 0.000 0.000
2 Sc 0.000 0.000 0.500
3 In 0.500 0.500 0.500
4 Mo 0.000 0.500 0.000

Principal peaks in the range 10 to 80 degrees two-theta, by angle:
d 5.091, rel. 24, hkl 0 0 1; d 3.511, rel. 64, hkl 1 0 1; d 2.844, rel. 100, hkl 1 1 1; d 2.545, rel. 51, hkl 0 0 2; d 2.425, rel. 89, hkl 2 0 0; d 2.189, rel. 10, hkl 2 0 1; d 1.995, rel. 26, hkl 2 1 1; d 1.756, rel. 65, hkl 2 0 2; d 1.715, rel. 30, hkl 2 2 0; d 1.521, rel. 14, hkl 1 1 3; d 1.468, rel. 25, hkl 3 1 1; d 1.422, rel. 31, hkl 2 2 2


Entry 3:
Starting from a crystal structure in Alexandria, relaxed with GGA-PBE, the X-ray diffraction stick pattern of TlTcHgF6 was simulated for Cu Kα (weighted mean of Kα1 and Kα2).
Peak positions follow from Bragg's law for the DFT cell and can differ from measured ones.

Structural model:
Cell: 5.035 6.635 6.698 Å, 60.47 89.98 89.94°
Space group P1 (No. 1)
Inequivalent atoms, fractional coordinates:
1 Tl 0.000 0.000 0.000
2 Tc 0.000 0.332 0.337
3 Hg 0.500 0.665 0.671
4 F 0.212 0.093 0.329
5 F 0.215 0.324 0.580
6 F 0.216 0.575 0.103
7 F 0.783 0.099 0.579
8 F 0.784 0.323 0.102
9 F 0.787 0.580 0.328

Principal peaks in the range 10 to 80 degrees two-theta, by angle:
d 3.805, rel. 99, hkl 1 1 0; d 3.791, rel. 100, hkl -1 1 1; d 3.353, rel. 79, hkl 0 1 2; d 3.317, rel. 39, hkl 0 2 1; d 2.520, rel. 36, hkl 2 0 0; d 2.502, rel. 42, hkl 1 -2 0; d 2.015, rel. 49, hkl 2 1 -1; d 2.012, rel. 38, hkl 2 1 2; d 2.005, rel. 38, hkl -2 2 1; d 1.995, rel. 24, hkl -1 3 2; d 1.538, rel. 20, hkl 2 0 3; d 1.527, rel. 18, hkl 2 -3 0